Computed powder X-ray diffraction pattern
Compound: Pr2USe4
Radiation: Cu Kα (weighted mean of Kα1 and Kα2)
Structure: the GGA-PBE geometry in the Materials Project

Structure:
```
data_Pr2USe4
_cell_length_a 7.7076
_cell_length_b 7.7076
_cell_length_c 7.7076
_cell_angle_alpha 109.34
_cell_angle_beta 109.34
_cell_angle_gamma 109.74
_space_group_name_H-M_alt 'P 1'
_space_group_IT_number 1
loop_
_space_group_symop_operation_xyz
'x,y,z'
loop_
_atom_site_label
_atom_site_type_symbol
_atom_site_fract_x
_atom_site_fract_y
_atom_site_fract_z
Pr1 Pr 0.0012 0.1250 0.3762
Pr2 Pr 0.3750 0.9988 0.1238
Pr3 Pr 0.7488 0.6250 0.6238
Pr4 Pr 0.8750 0.2512 0.8762
U1 U 0.2500 0.7500 0.5000
U2 U 0.5000 0.5000 0.0000
Se1 Se 0.1300 0.0289 0.7490
Se2 Se 0.1310 0.5299 0.7510
Se3 Se 0.2799 0.3810 0.2510
Se4 Se 0.4701 0.2211 0.6011
Se5 Se 0.6190 0.8700 0.8989
Se6 Se 0.6200 0.8690 0.3989
Se7 Se 0.7789 0.3800 0.2490
Se8 Se 0.9711 0.7201 0.1011
```

The 10 most intense peaks (10° ≤ 2θ ≤ 90°), in order of rising 2θ:
2θ 24.50, I 64; 2θ 31.75, I 100; 2θ 31.89, I 55; 2θ 37.80, I 82; 2θ 37.88, I 27; 2θ 45.52, I 27; 2θ 47.94, I 30; 2θ 52.38, I 24; 2θ 64.47, I 34; 2θ 78.95, I 22

---

Computed powder X-ray diffraction pattern
Compound: Pr2Si3
Radiation: Cu Kα (weighted mean of Kα1 and Kα2)
Structure: the GGA-PBE geometry in the Materials Project

Structure:
```
data_Pr2Si3
_cell_length_a 3.9684
_cell_length_b 4.2528
_cell_length_c 14.2728
_cell_angle_alpha 90.00
_cell_angle_beta 90.00
_cell_angle_gamma 90.00
_space_group_name_H-M_alt 'P 1'
_space_group_IT_number 1
loop_
_space_group_symop_operation_xyz
'x,y,z'
loop_
_atom_site_label
_atom_site_type_symbol
_atom_site_fract_x
_atom_site_fract_y
_atom_site_fract_z
Pr1 Pr 0.0000 0.0000 0.0000
Pr2 Pr 0.0000 0.5000 0.2530
Pr3 Pr 0.5000 0.0000 0.7530
Pr4 Pr 0.5000 0.5000 0.5000
Si1 Si 0.0000 0.0000 0.4234
Si2 Si 0.0000 0.5000 0.6636
Si3 Si 0.0000 0.5000 0.8280
Si4 Si 0.5000 0.0000 0.1636
Si5 Si 0.5000 0.0000 0.3280
Si6 Si 0.5000 0.5000 0.9234
```

The 10 most intense peaks (10° ≤ 2θ ≤ 90°), in order of rising 2θ:
2θ 21.81, I 27; 2θ 23.27, I 26; 2θ 24.95, I 29; 2θ 28.14, I 33; 2θ 29.31, I 22; 2θ 33.34, I 100; 2θ 37.96, I 19; 2θ 38.86, I 20; 2θ 42.51, I 16; 2θ 49.56, I 21

---

Computed powder X-ray diffraction pattern
Compound: Pr3Sm
Radiation: Cu Kα (weighted mean of Kα1 and Kα2)
Structure: the GGA-PBE geometry in the Materials Project

Structure:
```
data_Pr3Sm
_cell_length_a 5.2418
_cell_length_b 5.2418
_cell_length_c 5.2418
_cell_angle_alpha 90.00
_cell_angle_beta 90.00
_cell_angle_gamma 90.00
_space_group_name_H-M_alt 'P 1'
_space_group_IT_number 1
loop_
_space_group_symop_operation_xyz
'x,y,z'
loop_
_atom_site_label
_atom_site_type_symbol
_atom_site_fract_x
_atom_site_fract_y
_atom_site_fract_z
Pr1 Pr 0.0000 0.0000 0.5000
Pr2 Pr 0.0000 0.5000 0.0000
Pr3 Pr 0.5000 0.0000 0.0000
Sm1 Sm 0.5000 0.5000 0.5000
```

The 8 most intense peaks (10° ≤ 2θ ≤ 90°), in order of rising 2θ:
2θ 29.52, I 100; 2θ 34.21, I 51; 2θ 49.16, I 37; 2θ 58.39, I 44; 2θ 61.26, I 13; 2θ 72.07, I 6; 2θ 79.74, I 18; 2θ 82.25, I 16

---

Computed powder X-ray diffraction pattern
Compound: PrSm3
Radiation: Cu Kα (weighted mean of Kα1 and Kα2)
Structure: the GGA-PBE geometry in the Materials Project

Structure:
```
data_PrSm3
_cell_length_a 5.1496
_cell_length_b 5.1496
_cell_length_c 10.3187
_cell_angle_alpha 90.00
_cell_angle_beta 90.00
_cell_angle_gamma 90.00
_space_group_name_H-M_alt 'P 1'
_space_group_IT_number 1
loop_
_space_group_symop_operation_xyz
'x,y,z'
loop_
_atom_site_label
_atom_site_type_symbol
_atom_site_fract_x
_atom_site_fract_y
_atom_site_fract_z
Pr1 Pr 0.0000 0.0000 0.0000
Pr2 Pr 0.5000 0.5000 0.5000
Sm1 Sm 0.0000 0.0000 0.5000
Sm2 Sm 0.0000 0.5000 0.2500
Sm3 Sm 0.0000 0.5000 0.7500
Sm4 Sm 0.5000 0.0000 0.2500
Sm5 Sm 0.5000 0.0000 0.7500
Sm6 Sm 0.5000 0.5000 0.0000
```

The 10 most intense peaks (10° ≤ 2θ ≤ 90°), in order of rising 2θ:
2θ 30.04, I 100; 2θ 34.82, I 51; 2θ 50.07, I 36; 2θ 59.50, I 43; 2θ 62.43, I 12; 2θ 73.41, I 2; 2θ 73.57, I 4; 2θ 81.41, I 18; 2θ 83.90, I 5; 2θ 84.04, I 11

---

Computed powder X-ray diffraction pattern
Compound: Pr3Sm
Radiation: Cu Kα (weighted mean of Kα1 and Kα2)
Structure: the GGA-PBE geometry in the Materials Project

Structure:
```
data_Pr3Sm
_cell_length_a 5.2179
_cell_length_b 5.2179
_cell_length_c 10.5169
_cell_angle_alpha 90.00
_cell_angle_beta 90.00
_cell_angle_gamma 90.00
_space_group_name_H-M_alt 'P 1'
_space_group_IT_number 1
loop_
_space_group_symop_operation_xyz
'x,y,z'
loop_
_atom_site_label
_atom_site_type_symbol
_atom_site_fract_x
_atom_site_fract_y
_atom_site_fract_z
Pr1 Pr 0.0000 0.0000 0.0000
Pr2 Pr 0.0000 0.5000 0.2500
Pr3 Pr 0.0000 0.5000 0.7500
Pr4 Pr 0.5000 0.0000 0.2500
Pr5 Pr 0.5000 0.0000 0.7500
Pr6 Pr 0.5000 0.5000 0.5000
Sm1 Sm 0.0000 0.0000 0.5000
Sm2 Sm 0.5000 0.5000 0.0000
```

The 10 most intense peaks (10° ≤ 2θ ≤ 90°), in order of rising 2θ:
2θ 29.58, I 100; 2θ 34.10, I 17; 2θ 34.37, I 34; 2θ 49.20, I 24; 2θ 49.40, I 12; 2θ 58.28, I 15; 2θ 58.64, I 29; 2θ 61.39, I 13; 2θ 79.83, I 12; 2θ 80.14, I 6

---

Computed powder X-ray diffraction pattern
Compound: PrSm3
Radiation: Cu Kα (weighted mean of Kα1 and Kα2)
Structure: the GGA-PBE geometry in the Materials Project

Structure:
```
data_PrSm3
_cell_length_a 7.3348
_cell_length_b 7.3348
_cell_length_c 6.0044
_cell_angle_alpha 90.00
_cell_angle_beta 90.00
_cell_angle_gamma 120.00
_space_group_name_H-M_alt 'P 1'
_space_group_IT_number 1
loop_
_space_group_symop_operation_xyz
'x,y,z'
loop_
_atom_site_label
_atom_site_type_symbol
_atom_site_fract_x
_atom_site_fract_y
_atom_site_fract_z
Pr1 Pr 0.3333 0.6667 0.2500
Pr2 Pr 0.6667 0.3333 0.7500
Sm1 Sm 0.1661 0.3321 0.7500
Sm2 Sm 0.1661 0.8339 0.7500
Sm3 Sm 0.3321 0.1661 0.2500
Sm4 Sm 0.6679 0.8339 0.7500
Sm5 Sm 0.8339 0.1661 0.2500
Sm6 Sm 0.8339 0.6679 0.2500
```

The 10 most intense peaks (10° ≤ 2θ ≤ 90°), in order of rising 2θ:
2θ 28.10, I 23; 2θ 29.76, I 27; 2θ 31.88, I 100; 2θ 41.38, I 16; 2θ 49.72, I 19; 2θ 54.17, I 22; 2θ 59.03, I 23; 2θ 60.28, I 16; 2θ 81.83, I 14; 2θ 83.17, I 9

---

Computed powder X-ray diffraction pattern
Compound: PrSm3
Radiation: Cu Kα (weighted mean of Kα1 and Kα2)
Structure: the GGA-PBE geometry in the Materials Project

Structure:
```
data_PrSm3
_cell_length_a 5.1698
_cell_length_b 5.1698
_cell_length_c 5.1698
_cell_angle_alpha 90.00
_cell_angle_beta 90.00
_cell_angle_gamma 90.00
_space_group_name_H-M_alt 'P 1'
_space_group_IT_number 1
loop_
_space_group_symop_operation_xyz
'x,y,z'
loop_
_atom_site_label
_atom_site_type_symbol
_atom_site_fract_x
_atom_site_fract_y
_atom_site_fract_z
Pr1 Pr 0.0000 0.0000 0.0000
Sm1 Sm 0.0000 0.5000 0.5000
Sm2 Sm 0.5000 0.0000 0.5000
Sm3 Sm 0.5000 0.5000 0.0000
```

The 8 most intense peaks (10° ≤ 2θ ≤ 90°), in order of rising 2θ:
2θ 29.94, I 100; 2θ 34.70, I 51; 2θ 49.89, I 36; 2θ 59.28, I 43; 2θ 62.20, I 12; 2θ 73.24, I 6; 2θ 81.08, I 18; 2θ 83.65, I 16

---

Computed powder X-ray diffraction pattern
Compound: PrSmTl2
Radiation: Cu Kα (weighted mean of Kα1 and Kα2)
Structure: the GGA-PBE geometry in the Materials Project

Structure:
```
data_PrSmTl2
_cell_length_a 7.8149
_cell_length_b 7.8149
_cell_length_c 7.8149
_cell_angle_alpha 90.00
_cell_angle_beta 90.00
_cell_angle_gamma 90.00
_space_group_name_H-M_alt 'P 1'
_space_group_IT_number 1
loop_
_space_group_symop_operation_xyz
'x,y,z'
loop_
_atom_site_label
_atom_site_type_symbol
_atom_site_fract_x
_atom_site_fract_y
_atom_site_fract_z
Pr1 Pr 0.0000 0.0000 0.0000
Pr2 Pr 0.0000 0.5000 0.5000
Pr3 Pr 0.5000 0.0000 0.5000
Pr4 Pr 0.5000 0.5000 0.0000
Sm1 Sm 0.0000 0.0000 0.5000
Sm2 Sm 0.0000 0.5000 0.0000
Sm3 Sm 0.5000 0.0000 0.0000
Sm4 Sm 0.5000 0.5000 0.5000
Tl1 Tl 0.2500 0.2500 0.2500
Tl2 Tl 0.2500 0.2500 0.7500
Tl3 Tl 0.2500 0.7500 0.2500
Tl4 Tl 0.2500 0.7500 0.7500
Tl5 Tl 0.7500 0.2500 0.2500
Tl6 Tl 0.7500 0.2500 0.7500
Tl7 Tl 0.7500 0.7500 0.2500
Tl8 Tl 0.7500 0.7500 0.7500
```

The 10 most intense peaks (10° ≤ 2θ ≤ 90°), in order of rising 2θ:
2θ 22.76, I 3; 2θ 32.40, I 100; 2θ 39.96, I 1; 2θ 46.48, I 19; 2θ 52.36, I 1; 2θ 57.80, I 39; 2θ 67.84, I 12; 2θ 72.58, I 1; 2θ 77.20, I 17; 2θ 86.23, I 4

---

Computed powder X-ray diffraction pattern
Compound: Pr5Sn3
Radiation: Cu Kα (weighted mean of Kα1 and Kα2)
Structure: the GGA-PBE geometry in the Materials Project

Structure:
```
data_Pr5Sn3
_cell_length_a 9.5068
_cell_length_b 9.5068
_cell_length_c 9.5068
_cell_angle_alpha 96.28
_cell_angle_beta 96.28
_cell_angle_gamma 141.38
_space_group_name_H-M_alt 'P 1'
_space_group_IT_number 1
loop_
_space_group_symop_operation_xyz
'x,y,z'
loop_
_atom_site_label
_atom_site_type_symbol
_atom_site_fract_x
_atom_site_fract_y
_atom_site_fract_z
Pr1 Pr 0.0839 0.7834 0.8673
Pr2 Pr 0.2166 0.0839 0.3005
Pr3 Pr 0.2500 0.7500 0.5000
Pr4 Pr 0.2834 0.5839 0.8673
Pr5 Pr 0.4161 0.2834 0.6995
Pr6 Pr 0.5839 0.7166 0.3005
Pr7 Pr 0.7166 0.4161 0.1327
Pr8 Pr 0.7500 0.2500 0.5000
Pr9 Pr 0.7834 0.9161 0.6995
Pr10 Pr 0.9161 0.2166 0.1327
Sn1 Sn 0.1602 0.3398 0.5000
Sn2 Sn 0.2500 0.2500 0.0000
Sn3 Sn 0.3398 0.8398 0.1795
Sn4 Sn 0.6602 0.1602 0.8205
Sn5 Sn 0.7500 0.7500 0.0000
Sn6 Sn 0.8398 0.6602 0.5000
```

The 10 most intense peaks (10° ≤ 2θ ≤ 90°), in order of rising 2θ:
2θ 28.39, I 21; 2θ 29.08, I 61; 2θ 31.53, I 65; 2θ 31.77, I 49; 2θ 32.39, I 100; 2θ 34.85, I 37; 2θ 40.90, I 16; 2θ 52.85, I 25; 2θ 59.30, I 16; 2θ 60.28, I 21

---

Computed powder X-ray diffraction pattern
Compound: PrSn3
Radiation: Cu Kα (weighted mean of Kα1 and Kα2)
Structure: the GGA-PBE geometry in the Materials Project

Structure:
```
data_PrSn3
_cell_length_a 4.7963
_cell_length_b 4.7963
_cell_length_c 4.7963
_cell_angle_alpha 90.00
_cell_angle_beta 90.00
_cell_angle_gamma 90.00
_space_group_name_H-M_alt 'P 1'
_space_group_IT_number 1
loop_
_space_group_symop_operation_xyz
'x,y,z'
loop_
_atom_site_label
_atom_site_type_symbol
_atom_site_fract_x
_atom_site_fract_y
_atom_site_fract_z
Pr1 Pr 0.0000 0.0000 0.0000
Sn1 Sn 0.0000 0.5000 0.5000
Sn2 Sn 0.5000 0.0000 0.5000
Sn3 Sn 0.5000 0.5000 0.0000
```

The 8 most intense peaks (10° ≤ 2θ ≤ 90°), in order of rising 2θ:
2θ 18.50, I 1; 2θ 32.33, I 100; 2θ 37.50, I 51; 2θ 54.08, I 36; 2θ 64.43, I 43; 2θ 67.67, I 12; 2θ 80.02, I 6; 2θ 88.95, I 19

---

Computed powder X-ray diffraction pattern
Compound: Pr5Sn3
Radiation: Cu Kα (weighted mean of Kα1 and Kα2)
Structure: the GGA-PBE geometry in the Materials Project

Structure:
```
data_Pr5Sn3
_cell_length_a 9.4174
_cell_length_b 9.4174
_cell_length_c 6.8340
_cell_angle_alpha 90.00
_cell_angle_beta 90.00
_cell_angle_gamma 120.00
_space_group_name_H-M_alt 'P 1'
_space_group_IT_number 1
loop_
_space_group_symop_operation_xyz
'x,y,z'
loop_
_atom_site_label
_atom_site_type_symbol
_atom_site_fract_x
_atom_site_fract_y
_atom_site_fract_z
Pr1 Pr 0.0000 0.2445 0.2500
Pr2 Pr 0.0000 0.7555 0.7500
Pr3 Pr 0.2445 0.0000 0.2500
Pr4 Pr 0.2445 0.2445 0.7500
Pr5 Pr 0.3333 0.6667 0.0000
Pr6 Pr 0.3333 0.6667 0.5000
Pr7 Pr 0.6667 0.3333 0.0000
Pr8 Pr 0.6667 0.3333 0.5000
Pr9 Pr 0.7555 0.0000 0.7500
Pr10 Pr 0.7555 0.7555 0.2500
Sn1 Sn 0.0000 0.3905 0.7500
Sn2 Sn 0.0000 0.6095 0.2500
Sn3 Sn 0.3905 0.0000 0.7500
Sn4 Sn 0.3905 0.3905 0.2500
Sn5 Sn 0.6095 0.0000 0.2500
Sn6 Sn 0.6095 0.6095 0.7500
```

The 10 most intense peaks (10° ≤ 2θ ≤ 90°), in order of rising 2θ:
2θ 26.08, I 18; 2θ 28.32, I 18; 2θ 28.97, I 31; 2θ 31.85, I 100; 2θ 32.37, I 83; 2θ 32.95, I 47; 2θ 46.86, I 21; 2θ 49.77, I 29; 2θ 63.16, I 17; 2θ 64.42, I 20

---

Computed powder X-ray diffraction pattern
Compound: Pr2Sn5
Radiation: Cu Kα (weighted mean of Kα1 and Kα2)
Structure: the GGA-PBE geometry in the Materials Project

Structure:
```
data_Pr2Sn5
_cell_length_a 17.9775
_cell_length_b 17.9775
_cell_length_c 4.7055
_cell_angle_alpha 90.00
_cell_angle_beta 90.00
_cell_angle_gamma 165.09
_space_group_name_H-M_alt 'P 1'
_space_group_IT_number 1
loop_
_space_group_symop_operation_xyz
'x,y,z'
loop_
_atom_site_label
_atom_site_type_symbol
_atom_site_fract_x
_atom_site_fract_y
_atom_site_fract_z
Pr1 Pr 0.0677 0.9323 0.0000
Pr2 Pr 0.2023 0.7977 0.0000
Pr3 Pr 0.7977 0.2023 0.0000
Pr4 Pr 0.9323 0.0677 0.0000
Sn1 Sn 0.0000 0.0000 0.5000
Sn2 Sn 0.1375 0.8625 0.5000
Sn3 Sn 0.2787 0.7213 0.5000
Sn4 Sn 0.3630 0.6370 0.0000
Sn5 Sn 0.4292 0.5708 0.5000
Sn6 Sn 0.5000 0.5000 0.0000
Sn7 Sn 0.5708 0.4292 0.5000
Sn8 Sn 0.6370 0.3630 0.0000
Sn9 Sn 0.7213 0.2787 0.5000
Sn10 Sn 0.8625 0.1375 0.5000
```

The 10 most intense peaks (10° ≤ 2θ ≤ 90°), in order of rising 2θ:
2θ 32.24, I 100; 2θ 35.25, I 18; 2θ 38.25, I 17; 2θ 38.61, I 17; 2θ 52.99, I 10; 2θ 53.26, I 10; 2θ 55.48, I 12; 2θ 65.39, I 14; 2θ 65.88, I 13; 2θ 67.46, I 10

---

Computed powder X-ray diffraction pattern
Compound: Pr3Sn
Radiation: Cu Kα (weighted mean of Kα1 and Kα2)
Structure: the GGA-PBE geometry in the Materials Project

Structure:
```
data_Pr3Sn
_cell_length_a 4.9998
_cell_length_b 4.9998
_cell_length_c 4.9998
_cell_angle_alpha 90.00
_cell_angle_beta 90.00
_cell_angle_gamma 90.00
_space_group_name_H-M_alt 'P 1'
_space_group_IT_number 1
loop_
_space_group_symop_operation_xyz
'x,y,z'
loop_
_atom_site_label
_atom_site_type_symbol
_atom_site_fract_x
_atom_site_fract_y
_atom_site_fract_z
Pr1 Pr 0.0000 0.0000 0.5000
Pr2 Pr 0.0000 0.5000 0.0000
Pr3 Pr 0.5000 0.0000 0.0000
Sn1 Sn 0.5000 0.5000 0.5000
```

The 8 most intense peaks (10° ≤ 2θ ≤ 90°), in order of rising 2θ:
2θ 30.98, I 100; 2θ 35.92, I 51; 2θ 51.71, I 36; 2θ 61.51, I 43; 2θ 64.57, I 12; 2θ 76.16, I 6; 2θ 84.46, I 18; 2θ 87.19, I 17

---

Computed powder X-ray diffraction pattern
Compound: SrPr3
Radiation: Cu Kα (weighted mean of Kα1 and Kα2)
Structure: the GGA-PBE geometry in the Materials Project

Structure:
```
data_SrPr3
_cell_length_a 7.7299
_cell_length_b 7.7299
_cell_length_c 6.1248
_cell_angle_alpha 90.00
_cell_angle_beta 90.00
_cell_angle_gamma 120.00
_space_group_name_H-M_alt 'P 1'
_space_group_IT_number 1
loop_
_space_group_symop_operation_xyz
'x,y,z'
loop_
_atom_site_label
_atom_site_type_symbol
_atom_site_fract_x
_atom_site_fract_y
_atom_site_fract_z
Sr1 Sr 0.3333 0.6667 0.2500
Sr2 Sr 0.6667 0.3333 0.7500
Pr1 Pr 0.1604 0.3208 0.7500
Pr2 Pr 0.1604 0.8396 0.7500
Pr3 Pr 0.3208 0.1604 0.2500
Pr4 Pr 0.6792 0.8396 0.7500
Pr5 Pr 0.8396 0.1604 0.2500
Pr6 Pr 0.8396 0.6792 0.2500
```

The 10 most intense peaks (10° ≤ 2θ ≤ 90°), in order of rising 2θ:
2θ 26.63, I 23; 2θ 29.16, I 25; 2θ 30.43, I 100; 2θ 39.90, I 16; 2θ 47.02, I 20; 2θ 52.50, I 22; 2θ 56.29, I 23; 2θ 57.05, I 16; 2θ 76.96, I 13; 2θ 79.94, I 8

---

Computed powder X-ray diffraction pattern
Compound: SrPr3
Radiation: Cu Kα (weighted mean of Kα1 and Kα2)
Structure: the GGA-PBE geometry in the Materials Project

Structure:
```
data_SrPr3
_cell_length_a 5.3627
_cell_length_b 5.3627
_cell_length_c 5.3627
_cell_angle_alpha 90.00
_cell_angle_beta 90.00
_cell_angle_gamma 90.00
_space_group_name_H-M_alt 'P 1'
_space_group_IT_number 1
loop_
_space_group_symop_operation_xyz
'x,y,z'
loop_
_atom_site_label
_atom_site_type_symbol
_atom_site_fract_x
_atom_site_fract_y
_atom_site_fract_z
Sr1 Sr 0.0000 0.0000 0.0000
Pr1 Pr 0.0000 0.5000 0.5000
Pr2 Pr 0.5000 0.0000 0.5000
Pr3 Pr 0.5000 0.5000 0.0000
```

The 10 most intense peaks (10° ≤ 2θ ≤ 90°), in order of rising 2θ:
2θ 16.53, I 3; 2θ 28.84, I 100; 2θ 33.42, I 51; 2θ 47.98, I 37; 2θ 56.95, I 44; 2θ 59.73, I 13; 2θ 70.20, I 6; 2θ 77.60, I 18; 2θ 80.02, I 16; 2θ 89.54, I 13